Calculated powder diffractogram of Nd3Co2Ni4 for Cu Kα, 1.54184 Å, from a structure optimized by DFT (GGA-PBE).
Lines closer than 0.1° are merged.

Peak list (10 most intense, 2θ from 15° to 90°, by intensity)
| 2theta | intensity |
| --- | --- |
| 34.17 | 100 |
| 45.52 | 38 |
| 65.85 | 24 |
| 58.13 | 21 |
| 76.78 | 18 |
| 25.81 | 15 |
| 44.89 | 13 |
| 75.87 | 9 |
| 84.14 | 6 |
| 52.51 | 4 |

Cell and atoms:
abc: 3.9855 3.9855 24.2285
angles: 90.00 90.00 120.00
Fractional positions:
Nd1 0.0000 0.0000 0.0839
Nd2 0.0000 0.0000 0.2478
Nd3 0.0000 0.0000 0.4156
Nd4 0.0000 0.0000 0.5844
Nd5 0.0000 0.0000 0.7522
Nd6 0.0000 0.0000 0.9161
Co1 0.3333 0.6667 0.5000
Co2 0.6667 0.3333 0.1659
Co3 0.6667 0.3333 0.5000
Co4 0.6667 0.3333 0.8341
Ni1 0.3333 0.6667 0.0000
Ni2 0.3333 0.6667 0.1658
Ni3 0.3333 0.6667 0.3319
Ni4 0.3333 0.6667 0.6681
Ni5 0.3333 0.6667 0.8342
Ni6 0.6667 0.3333 0.0000
Ni7 0.6667 0.3333 0.3320
Ni8 0.6667 0.3333 0.6680